(1)
The following is a calculated powder XRD pattern of YThNi4. It was derived from DFT lattice parameters and positions (PBE), using Cu Kα (λ = 1.5418 Å).

Top 10 peaks for 2θ = 10–80°, in order of falling intensity:
2θ 35.02, intensity 100, (1 0 2); 2θ 44.48, intensity 43, (0 2 0); 2θ 57.83, intensity 23, (1 2 2); 2θ 68.21, intensity 23, (2 2 0); 2θ 75.76, intensity 21, (1 1 5); 2θ 25.24, intensity 19, (0 1 1); 2θ 12.55, intensity 15, (0 0 1); 2θ 48.88, intensity 11, (2 0 0); 2θ 27.06, intensity 6, (1 0 1); 2θ 55.79, intensity 5, (2 1 1)

Crystal structure
```
data_YThNi4
_chemical_formula_sum 'Y1 Th1 Ni4'
_space_group_name_H-M_alt 'P m m m'
_space_group_IT_number 47
_space_group_name_Hall '-P 2 2'
_cell_length_a 3.7266
_cell_length_b 4.0743
_cell_length_c 7.0559
_cell_angle_alpha 90.00
_cell_angle_beta 90.00
_cell_angle_gamma 90.00
loop_
_atom_site_label
_atom_site_fract_x
_atom_site_fract_y
_atom_site_fract_z
Y1 0.0000 0.0000 0.0000
Th1 0.0000 0.5000 0.5000
Ni1 0.5000 0.0000 0.3315
Ni2 0.5000 0.5000 0.1655
```

=====

(2)
The following is a calculated powder XRD pattern of Tb3Pr3In5. It was derived from DFT lattice parameters and positions (PBE), using Cu Kα (λ = 1.5418 Å).

Top 10 peaks for 2θ = 10–80°, in order of falling intensity:
2θ 30.69, intensity 100, (2 1 0); 2θ 43.03, intensity 79, (2 1 2); 2θ 29.42, intensity 58, (0 0 2); 2θ 14.59, intensity 56, (0 0 1); 2θ 19.95, intensity 33, (1 1 0); 2θ 34.93, intensity 29, (3 0 0); 2θ 46.30, intensity 27, (3 0 2); 2θ 24.81, intensity 24, (1 1 1); 2θ 34.14, intensity 21, (2 1 1); 2θ 69.88, intensity 19, (2 1 4)

Crystal structure
```
data_Tb3Pr3In5
_chemical_formula_sum 'Tb3 Pr3 In5'
_space_group_name_H-M_alt 'P -6 2 m'
_space_group_IT_number 189
_space_group_name_Hall 'P -6 -2'
_cell_length_a 8.8993
_cell_length_b 8.8993
_cell_length_c 6.0714
_cell_angle_alpha 90.00
_cell_angle_beta 90.00
_cell_angle_gamma 120.00
loop_
_atom_site_label
_atom_site_fract_x
_atom_site_fract_y
_atom_site_fract_z
Tb1 0.0000 0.7645 0.0000
Pr1 0.0000 0.7323 0.5000
In1 0.0000 0.3919 0.0000
In2 0.3333 0.6667 0.0000
```

=====

(3)
The following is a calculated powder XRD pattern of MnTc2As4. It was derived from DFT lattice parameters and positions (PBE), using Cu Kα (λ = 1.5418 Å).

Top 10 peaks for 2θ = 10–80°, in order of falling intensity:
2θ 44.39, intensity 100, (2 4 -2); 2θ 32.47, intensity 57, (0 2 2); 2θ 34.59, intensity 55, (2 2 0); 2θ 42.65, intensity 50, (0 4 2); 2θ 34.68, intensity 42, (2 2 -2); 2θ 20.95, intensity 38, (0 2 1); 2θ 31.47, intensity 34, (2 2 -1); 2θ 56.25, intensity 32, (4 0 -2); 2θ 51.72, intensity 27, (2 0 2); 2θ 51.90, intensity 25, (2 0 -4)

Crystal structure
```
data_MnTc2As4
_chemical_formula_sum 'Mn4 Tc8 As16'
_space_group_name_H-M_alt 'C 1 c 1'
_space_group_IT_number 9
_space_group_name_Hall 'C -2yc'
_cell_length_a 6.5423
_cell_length_b 11.4858
_cell_length_c 7.0769
_cell_angle_alpha 90.00
_cell_angle_beta 117.32
_cell_angle_gamma 90.00
loop_
_atom_site_label
_atom_site_fract_x
_atom_site_fract_y
_atom_site_fract_z
Mn1 0.0000 0.1295 0.0000
Tc1 0.0375 0.1280 0.6008
Tc2 0.0610 0.3716 0.1034
As1 0.1882 0.4923 0.4180
As2 0.1972 0.0150 0.3911
As3 0.3710 0.2170 0.2293
As4 0.3713 0.2748 0.7429
```

=====

(4)
The following is a calculated powder XRD pattern of AcTmMg2In4. It was derived from DFT lattice parameters and positions (PBE), using Cu Kα (λ = 1.5418 Å).

Top 10 peaks for 2θ = 10–80°, in order of falling intensity:
2θ 31.02, intensity 100, (0 1 8); 2θ 36.35, intensity 87, (1 1 0); 2θ 21.53, intensity 62, (0 1 2); 2θ 35.60, intensity 38, (1 0 10); 2θ 48.52, intensity 29, (2 0 8); 2θ 62.11, intensity 27, (1 2 8); 2θ 65.41, intensity 15, (3 0 0); 2θ 64.92, intensity 13, (2 1 10); 2θ 51.79, intensity 13, (0 2 10); 2θ 51.48, intensity 12, (1 0 16)

Crystal structure
```
data_AcTmMg2In4
_chemical_formula_sum 'Ac3 Tm3 Mg6 In12'
_space_group_name_H-M_alt 'R -3 m'
_space_group_IT_number 166
_space_group_name_Hall '-R 3 2"'
_cell_length_a 4.9426
_cell_length_b 4.9426
_cell_length_c 31.2107
_cell_angle_alpha 90.00
_cell_angle_beta 90.00
_cell_angle_gamma 120.00
loop_
_atom_site_label
_atom_site_fract_x
_atom_site_fract_y
_atom_site_fract_z
Ac1 0.0000 0.0000 0.0000
Tm1 0.0000 0.0000 0.5000
Mg1 0.0000 0.0000 0.2415
In1 0.0000 0.0000 0.1241
In2 0.0000 0.0000 0.3955
```

=====

(5)
The following is a calculated powder XRD pattern of Pu5ThP6. It was derived from DFT lattice parameters and positions (PBE), using Cu Kα (λ = 1.5418 Å).

Top 10 peaks for 2θ = 10–80°, in order of falling intensity:
2θ 31.45, intensity 100, (1 3 1); 2θ 27.09, intensity 84, (2 0 0); 2θ 44.92, intensity 38, (0 6 0); 2θ 45.23, intensity 37, (2 0 2); 2θ 53.38, intensity 28, (3 3 1); 2θ 27.33, intensity 27, (0 0 2); 2θ 55.86, intensity 20, (4 0 0); 2θ 74.38, intensity 18, (4 6 0); 2θ 74.83, intensity 17, (3 3 3); 2θ 53.24, intensity 14, (2 6 0)

Crystal structure
```
data_Pu5ThP6
_chemical_formula_sum 'Pu10 Th2 P12'
_space_group_name_H-M_alt 'C 1 2/m 1'
_space_group_IT_number 12
_space_group_name_Hall '-C 2y'
_cell_length_a 6.9914
_cell_length_b 12.1059
_cell_length_c 6.9305
_cell_angle_alpha 90.00
_cell_angle_beta 109.65
_cell_angle_gamma 90.00
loop_
_atom_site_label
_atom_site_fract_x
_atom_site_fract_y
_atom_site_fract_z
Pu1 0.0000 0.0000 0.0000
Pu2 0.0000 0.1669 0.5000
Pu3 0.0000 0.3348 0.0000
Th1 0.0000 0.5000 0.5000
P1 0.2448 0.0000 0.7541
P2 0.2449 0.1698 0.2448
```

=====

(6)
The following is a calculated powder XRD pattern of La5P4Cl. It was derived from DFT lattice parameters and positions (PBE), using Cu Kα (λ = 1.5418 Å).

Top 10 peaks for 2θ = 10–80°, in order of falling intensity:
2θ 29.69, intensity 100, (0 0 2); 2θ 42.49, intensity 73, (3 1 2); 2θ 25.64, intensity 73, (1 2 1); 2θ 52.69, intensity 25, (2 4 2); 2θ 50.24, intensity 23, (5 0 1); 2θ 69.84, intensity 20, (6 2 2); 2θ 77.69, intensity 15, (5 5 2); 2θ 50.37, intensity 12, (1 2 3); 2θ 70.02, intensity 11, (3 1 4); 2θ 67.92, intensity 9, (5 0 3)

Crystal structure
```
data_La5P4Cl
_chemical_formula_sum 'La10 P8 Cl2'
_space_group_name_H-M_alt 'I 4/m'
_space_group_IT_number 87
_space_group_name_Hall '-I 4'
_cell_length_a 9.5257
_cell_length_b 9.5257
_cell_length_c 6.0051
_cell_angle_alpha 90.00
_cell_angle_beta 90.00
_cell_angle_gamma 90.00
loop_
_atom_site_label
_atom_site_fract_x
_atom_site_fract_y
_atom_site_fract_z
La1 0.0000 0.0000 0.0000
La2 0.1048 0.6887 0.5000
P1 0.1012 0.7035 0.0000
Cl1 0.0000 0.0000 0.5000
```

=====

(7)
The following is a calculated powder XRD pattern of BaTa2Bi2O9. It was derived from DFT lattice parameters and positions (PBE), using Cu Kα (λ = 1.5418 Å).

Top 10 peaks for 2θ = 10–80°, in order of falling intensity:
2θ 28.63, intensity 100, (1 0 5); 2θ 31.89, intensity 38, (1 1 0); 2θ 54.84, intensity 34, (2 1 5); 2θ 45.73, intensity 22, (2 0 0); 2θ 48.54, intensity 22, (1 1 10); 2θ 35.61, intensity 13, (0 0 10); 2θ 59.26, intensity 12, (2 0 10); 2θ 59.75, intensity 9, (1 0 15); 2θ 78.35, intensity 9, (2 1 15); 2θ 66.66, intensity 7, (2 2 0)

Crystal structure
```
data_BaTa2Bi2O9
_chemical_formula_sum 'Ba2 Ta4 Bi4 O18'
_space_group_name_H-M_alt 'I 4/m m m'
_space_group_IT_number 139
_space_group_name_Hall '-I 4 2'
_cell_length_a 3.9682
_cell_length_b 3.9682
_cell_length_c 25.2124
_cell_angle_alpha 90.00
_cell_angle_beta 90.00
_cell_angle_gamma 90.00
loop_
_atom_site_label
_atom_site_fract_x
_atom_site_fract_y
_atom_site_fract_z
Ba1 0.0000 0.0000 0.0000
Ta1 0.0000 0.0000 0.4115
Bi1 0.0000 0.0000 0.2014
O1 0.0000 0.0000 0.3366
O2 0.0000 0.0000 0.5000
O3 0.0000 0.5000 0.0813
O4 0.0000 0.5000 0.2500
```

=====

(8)
The following is a calculated powder XRD pattern of Tb3Nd5Dy2. It was derived from DFT lattice parameters and positions (PBE), using Cu Kα (λ = 1.5418 Å).

Top 10 peaks for 2θ = 10–80°, in order of falling intensity:
2θ 31.04, intensity 100, (2 4 0); 2θ 29.31, intensity 94, (2 2 1); 2θ 33.28, intensity 46, (4 0 -2); 2θ 62.40, intensity 26, (2 4 4); 2θ 35.77, intensity 25, (2 0 -4); 2θ 60.30, intensity 23, (4 6 1); 2θ 31.94, intensity 22, (0 4 2); 2θ 48.74, intensity 22, (0 6 3); 2θ 33.80, intensity 18, (0 2 3); 2θ 58.07, intensity 17, (6 4 -4)

Crystal structure
```
data_Tb3Nd5Dy2
_chemical_formula_sum 'Tb12 Nd20 Dy8'
_space_group_name_H-M_alt 'C 1 2/c 1'
_space_group_IT_number 15
_space_group_name_Hall '-C 2yc'
_cell_length_a 10.7688
_cell_length_b 14.8919
_cell_length_c 10.0714
_cell_angle_alpha 90.00
_cell_angle_beta 122.30
_cell_angle_gamma 90.00
loop_
_atom_site_label
_atom_site_fract_x
_atom_site_fract_y
_atom_site_fract_z
Tb1 0.0000 0.2285 0.2500
Tb2 0.1547 0.1250 0.0567
Nd1 0.0000 0.0222 0.2500
Nd2 0.0000 0.2717 0.7500
Nd3 0.0000 0.4816 0.7500
Nd4 0.2465 0.1286 0.7418
Dy1 0.1526 0.3723 0.5579
```

=====

(9)
The following is a calculated powder XRD pattern of Tl5Cl6. It was derived from DFT lattice parameters and positions (PBE), using Cu Kα (λ = 1.5418 Å).

Top 10 peaks for 2θ = 10–80°, in order of falling intensity:
2θ 28.14, intensity 100, (1 3 1); 2θ 24.46, intensity 88, (0 0 2); 2θ 28.36, intensity 50, (2 0 -2); 2θ 40.14, intensity 38, (3 3 -1); 2θ 40.62, intensity 37, (1 3 -3); 2θ 24.10, intensity 30, (2 0 0); 2θ 50.13, intensity 29, (0 0 4); 2θ 47.86, intensity 20, (3 3 -3); 2θ 40.01, intensity 19, (2 0 2); 2θ 65.59, intensity 18, (3 3 3)

Crystal structure
```
data_Tl5Cl6
_chemical_formula_sum 'Tl10 Cl12'
_space_group_name_H-M_alt 'C 1 2/m 1'
_space_group_IT_number 12
_space_group_name_Hall '-C 2y'
_cell_length_a 7.8006
_cell_length_b 13.3925
_cell_length_c 7.6822
_cell_angle_alpha 90.00
_cell_angle_beta 108.79
_cell_angle_gamma 90.00
loop_
_atom_site_label
_atom_site_fract_x
_atom_site_fract_y
_atom_site_fract_z
Tl1 0.0000 0.0000 0.0000
Tl2 0.0000 0.1697 0.5000
Tl3 0.0000 0.3450 0.0000
Cl1 0.2334 0.0000 0.7346
Cl2 0.2373 0.1748 0.2393
```

=====

(10)
The following is a calculated powder XRD pattern of Cd3NiSb. It was derived from DFT lattice parameters and positions (PBE), using Cu Kα (λ = 1.5418 Å).

Top 10 peaks for 2θ = 10–80°, in order of falling intensity:
2θ 31.25, intensity 100, (1 1 1); 2θ 36.25, intensity 88, (2 0 0); 2θ 52.19, intensity 60, (2 2 0); 2θ 62.10, intensity 40, (3 1 1); 2θ 65.20, intensity 20, (2 2 2); 2θ 76.94, intensity 9, (4 0 0); 2θ 25.41, intensity 8, (1 1 0); 2θ 17.89, intensity 7, (1 0 0); 2θ 44.79, intensity 3, (2 1 1); 2θ 40.70, intensity 3, (2 1 0)

Crystal structure
```
data_Cd3NiSb
_chemical_formula_sum 'Cd3 Ni1 Sb1'
_space_group_name_H-M_alt 'P m -3 m'
_space_group_IT_number 221
_space_group_name_Hall '-P 4 2 3'
_cell_length_a 4.9569
_cell_length_b 4.9569
_cell_length_c 4.9569
_cell_angle_alpha 90.00
_cell_angle_beta 90.00
_cell_angle_gamma 90.00
loop_
_atom_site_label
_atom_site_fract_x
_atom_site_fract_y
_atom_site_fract_z
Cd1 0.0000 0.0000 0.5000
Ni1 0.0000 0.0000 0.0000
Sb1 0.5000 0.5000 0.5000
```

=====

(11)
The following is a calculated powder XRD pattern of Ce2Pa13. It was derived from DFT lattice parameters and positions (PBE), using Cu Kα (λ = 1.5418 Å).

Top 10 peaks for 2θ = 10–80°, in order of falling intensity:
2θ 35.73, intensity 100, (3 0 3); 2θ 35.88, intensity 56, (1 3 1); 2θ 41.62, intensity 52, (0 4 2); 2θ 33.47, intensity 47, (0 2 4); 2θ 48.29, intensity 47, (4 0 4); 2θ 33.78, intensity 47, (2 2 0); 2θ 20.47, intensity 39, (0 2 1); 2θ 16.55, intensity 37, (0 1 2); 2θ 23.60, intensity 29, (2 0 2); 2θ 72.04, intensity 26, (3 4 5)

Crystal structure
```
data_Ce2Pa13
_chemical_formula_sum 'Ce6 Pa39'
_space_group_name_H-M_alt 'R -3 m'
_space_group_IT_number 166
_space_group_name_Hall '-R 3 2"'
_cell_length_a 10.6143
_cell_length_b 10.6143
_cell_length_c 13.1768
_cell_angle_alpha 90.00
_cell_angle_beta 90.00
_cell_angle_gamma 120.00
loop_
_atom_site_label
_atom_site_fract_x
_atom_site_fract_y
_atom_site_fract_z
Ce1 0.0000 0.0000 0.2247
Pa1 0.0000 0.0000 0.0000
Pa2 0.0348 0.5174 0.7429
Pa3 0.1047 0.2095 0.3989
```

=====

(12)
The following is a calculated powder XRD pattern of BaLaTb. It was derived from DFT lattice parameters and positions (PBE), using Cu Kα (λ = 1.5418 Å).

Top 10 peaks for 2θ = 10–80°, in order of falling intensity:
2θ 28.42, intensity 100, (1 0 1); 2θ 32.77, intensity 69, (0 1 2); 2θ 27.89, intensity 32, (0 0 3); 2θ 55.87, intensity 27, (1 1 3); 2θ 47.37, intensity 26, (1 1 0); 2θ 46.69, intensity 23, (1 0 4); 2θ 56.17, intensity 15, (0 2 1); 2θ 55.26, intensity 13, (0 1 5); 2θ 58.80, intensity 13, (2 0 2); 2θ 76.47, intensity 12, (2 1 1)

Crystal structure
```
data_BaLaTb
_chemical_formula_sum 'Ba1 La1 Tb1'
_space_group_name_H-M_alt 'P 3 m 1'
_space_group_IT_number 156
_space_group_name_Hall 'P 3 -2"'
_cell_length_a 3.8381
_cell_length_b 3.8381
_cell_length_c 9.5984
_cell_angle_alpha 90.00
_cell_angle_beta 90.00
_cell_angle_gamma 120.00
loop_
_atom_site_label
_atom_site_fract_x
_atom_site_fract_y
_atom_site_fract_z
Ba1 0.0000 0.0000 0.0000
La1 0.3333 0.6667 0.6355
Tb1 0.6667 0.3333 0.3438
```

=====

(13)
The following is a calculated powder XRD pattern of AgC8. It was derived from DFT lattice parameters and positions (PBE), using Cu Kα (λ = 1.5418 Å).

Top 10 peaks for 2θ = 10–80°, in order of falling intensity:
2θ 14.61, intensity 100, (0 2 1); 2θ 20.76, intensity 89, (0 4 0); 2θ 10.31, intensity 76, (0 0 1); 2θ 20.66, intensity 75, (0 0 2); 2θ 29.45, intensity 55, (0 4 2); 2θ 23.18, intensity 45, (0 2 2); 2θ 37.81, intensity 20, (0 4 3); 2θ 47.29, intensity 20, (0 4 4); 2θ 35.69, intensity 15, (1 1 0); 2θ 38.93, intensity 13, (1 3 -1)

Crystal structure
```
data_AgC8
_chemical_formula_sum 'Ag2 C16'
_space_group_name_H-M_alt 'C 1 2/m 1'
_space_group_IT_number 12
_space_group_name_Hall '-C 2y'
_cell_length_a 2.5657
_cell_length_b 17.1111
_cell_length_c 8.6743
_cell_angle_alpha 90.00
_cell_angle_beta 97.56
_cell_angle_gamma 90.00
loop_
_atom_site_label
_atom_site_fract_x
_atom_site_fract_y
_atom_site_fract_z
Ag1 0.0000 0.0000 0.0000
C1 0.0000 0.2500 0.0000
C2 0.0424 0.2275 0.4155
C3 0.2501 0.0000 0.5000
```